Entry 1:
The following is a computed XRD peak list of LiFeF4. It was derived from the PBE+U geometry in the Materials Project, using Cu Kα.

Structural model:
Cell: 7.0312 7.0312 7.1460 Å, 103.86 103.86 83.18°
Positions (direct):
Li (0.1814, 0.8186, 0.0000)
Li (0.2029, 0.2029, 0.3578)
Li (0.7971, 0.7971, 0.6422)
Li (0.8186, 0.1814, 0.0000)
Fe (0.2471, 0.7529, 0.5000)
Fe (0.2695, 0.2695, 0.9088)
Fe (0.7305, 0.7305, 0.0912)
Fe (0.7529, 0.2471, 0.5000)
F (0.1120, 0.8067, 0.7037)
F (0.1414, 0.1414, 0.0402)
F (0.1933, 0.8880, 0.2963)
F (0.1937, 0.1937, 0.6355)
F (0.2017, 0.5320, 0.9744)
F (0.2043, 0.4938, 0.3862)
F (0.4680, 0.7983, 0.0256)
F (0.4938, 0.2043, 0.3862)
F (0.5062, 0.7957, 0.6138)
F (0.5320, 0.2017, 0.9744)
F (0.7957, 0.5062, 0.6138)
F (0.7983, 0.4680, 0.0256)
F (0.8063, 0.8063, 0.3645)
F (0.8067, 0.1120, 0.7037)
F (0.8586, 0.8586, 0.9598)
F (0.8880, 0.1933, 0.2963)

Most intense lines, 10° ≤ 2θ ≤ 90°, by angle:
| two_theta | I/Imax |
| --- | --- |
| 18.42 | 44.3 |
| 23.15 | 60.6 |
| 25.37 | 25.3 |
| 26.16 | 100.0 |
| 26.33 | 27.7 |
| 26.67 | 14.5 |
| 26.72 | 29.3 |
| 27.56 | 16.1 |
| 34.10 | 14.6 |
| 39.70 | 19.1 |

Entry 2:
The following is a computed XRD peak list of V3O5F. It was derived from the PBE+U geometry in the Materials Project, using Cu Kα.

Structural model:
Cell: 4.5845 5.5030 7.6527 Å, 87.09 89.08 88.64°
Positions (direct):
V (0.0000, 0.0000, 0.0000)
V (0.0085, 0.3396, 0.6725)
V (0.4820, 0.8311, 0.6498)
V (0.5000, 0.5000, 0.0000)
V (0.5180, 0.1689, 0.3502)
V (0.9915, 0.6604, 0.3275)
O (0.1881, 0.6996, 0.1023)
O (0.2019, 0.3692, 0.4302)
O (0.2078, 0.0300, 0.7675)
O (0.2975, 0.5333, 0.7620)
O (0.2980, 0.8707, 0.4326)
O (0.7020, 0.1293, 0.5674)
O (0.7025, 0.4667, 0.2380)
O (0.7922, 0.9700, 0.2325)
O (0.7981, 0.6308, 0.5698)
O (0.8119, 0.3004, 0.8977)
F (0.3090, 0.1968, 0.1082)
F (0.6910, 0.8032, 0.8918)

Most intense lines, 10° ≤ 2θ ≤ 90°, by angle:
| two_theta | I/Imax |
| --- | --- |
| 27.16 | 93.4 |
| 27.95 | 93.7 |
| 35.24 | 100.0 |
| 40.25 | 18.9 |
| 40.81 | 19.7 |
| 53.40 | 58.4 |
| 54.28 | 40.7 |
| 60.40 | 18.1 |
| 68.65 | 20.0 |
| 68.80 | 19.6 |

Entry 3:
The following is a computed XRD peak list of MgTiCo2O6. It was derived from the PBE+U geometry in the Materials Project, using Cu Kα.

Structural model:
Cell: 3.0278 5.9080 6.4142 Å, 77.89 76.37 89.99°
Positions (direct):
Mg (0.0000, 0.0000, 0.0000)
Ti (0.3182, 0.2200, 0.3668)
Co (0.0130, 0.5030, 0.9744)
Co (0.6831, 0.8137, 0.6323)
O (0.1637, 0.5897, 0.6721)
O (0.1701, 0.0621, 0.6583)
O (0.4859, 0.2511, 0.0270)
O (0.5170, 0.7560, 0.9654)
O (0.8299, 0.9782, 0.3362)
O (0.8446, 0.4239, 0.3111)

Most intense lines, 10° ≤ 2θ ≤ 90°, by angle:
| two_theta | I/Imax |
| --- | --- |
| 18.77 | 100.0 |
| 34.98 | 33.9 |
| 36.22 | 13.1 |
| 37.05 | 12.6 |
| 42.77 | 67.3 |
| 44.66 | 27.3 |
| 53.13 | 9.0 |
| 61.23 | 12.1 |
| 62.99 | 24.9 |
| 64.10 | 9.4 |

Entry 4:
The following is a computed XRD peak list of LiFeF4. It was derived from the PBE+U geometry in the Materials Project, using Cu Kα.

Structural model:
Cell: 6.9961 8.2337 9.7218 Å, 97.24 106.76 101.54°
Positions (direct):
Li (0.0067, 0.0036, 0.2656)
Li (0.1944, 0.6043, 0.3515)
Li (0.4783, 0.6870, 0.8617)
Li (0.5217, 0.3130, 0.1383)
Li (0.8056, 0.3957, 0.6485)
Li (0.9933, 0.9964, 0.7344)
Fe (0.0217, 0.6973, 0.9856)
Fe (0.2325, 0.3041, 0.5726)
Fe (0.4679, 0.8830, 0.2145)
Fe (0.5321, 0.1170, 0.7855)
Fe (0.7675, 0.6959, 0.4274)
Fe (0.9783, 0.3027, 0.0144)
F (0.0413, 0.7137, 0.4344)
F (0.0465, 0.5300, 0.1357)
F (0.0542, 0.8393, 0.8562)
F (0.1600, 0.8693, 0.1717)
F (0.1846, 0.0947, 0.4492)
F (0.2448, 0.2970, 0.0264)
F (0.2561, 0.1378, 0.7453)
F (0.2651, 0.4276, 0.4289)
F (0.3518, 0.4828, 0.7367)
F (0.3525, 0.7290, 0.0274)
F (0.4499, 0.7490, 0.3569)
F (0.4792, 0.8900, 0.7831)
F (0.5208, 0.1100, 0.2169)
F (0.5501, 0.2510, 0.6431)
F (0.6475, 0.2710, 0.9726)
F (0.6482, 0.5172, 0.2633)
F (0.7349, 0.5724, 0.5711)
F (0.7439, 0.8622, 0.2547)
F (0.7552, 0.7030, 0.9736)
F (0.8154, 0.9053, 0.5508)
F (0.8400, 0.1307, 0.8283)
F (0.9458, 0.1607, 0.1438)
F (0.9535, 0.4700, 0.8643)
F (0.9587, 0.2863, 0.5656)

Most intense lines, 10° ≤ 2θ ≤ 90°, by angle:
| two_theta | I/Imax |
| --- | --- |
| 13.30 | 41.8 |
| 16.20 | 43.7 |
| 16.95 | 85.2 |
| 18.85 | 31.9 |
| 19.74 | 34.0 |
| 19.85 | 100.0 |
| 24.35 | 57.1 |
| 26.78 | 56.7 |
| 40.40 | 51.2 |
| 42.83 | 35.8 |

Entry 5:
The following is a computed XRD peak list of MgVCr2Fe3P6O24. It was derived from the PBE+U geometry in the Materials Project, using Cu Kα.

Structural model:
Cell: 8.4685 8.5055 8.7431 Å, 91.71 118.89 118.08°
Positions (direct):
Mg (0.0000, 0.0000, 0.0000)
V (0.1797, 0.9881, 0.7722)
Cr (0.8807, 0.1334, 0.6154)
Cr (0.8847, 0.6253, 0.1341)
Fe (0.1884, 0.4949, 0.2842)
Fe (0.5724, 0.7706, 0.9707)
Fe (0.6026, 0.2794, 0.4901)
P (0.0832, 0.5810, 0.5748)
P (0.1107, 0.0955, 0.3925)
P (0.3589, 0.8814, 0.1688)
P (0.4039, 0.3886, 0.0993)
P (0.6851, 0.6784, 0.6758)
P (0.7009, 0.1819, 0.8835)
O (0.0420, 0.5741, 0.3754)
O (0.0440, 0.0635, 0.5323)
O (0.0589, 0.7398, 0.6236)
O (0.0798, 0.2457, 0.3150)
O (0.1823, 0.7144, 0.1865)
O (0.2141, 0.2183, 0.9113)
O (0.2213, 0.9417, 0.0218)
O (0.2899, 0.4662, 0.1356)
O (0.2991, 0.6120, 0.7126)
O (0.3416, 0.1504, 0.4858)
O (0.4654, 0.8214, 0.1067)
O (0.4700, 0.6440, 0.5236)
O (0.4723, 0.1091, 0.8289)
O (0.4995, 0.3153, 0.2515)
O (0.5345, 0.0329, 0.3623)
O (0.5852, 0.5371, 0.0788)
O (0.7207, 0.5291, 0.6362)
O (0.7355, 0.2062, 0.7237)
O (0.7378, 0.7029, 0.8806)
O (0.7660, 0.0432, 0.9522)
O (0.8551, 0.3796, 0.0408)
O (0.8649, 0.8883, 0.7097)
O (0.9046, 0.3813, 0.5480)
O (0.9626, 0.9067, 0.2195)

Most intense lines, 10° ≤ 2θ ≤ 90°, by angle:
| two_theta | I/Imax |
| --- | --- |
| 20.32 | 100.0 |
| 23.66 | 41.7 |
| 24.04 | 22.1 |
| 24.15 | 18.9 |
| 24.47 | 38.6 |
| 32.38 | 42.4 |
| 33.09 | 19.3 |
| 33.60 | 28.1 |
| 35.58 | 59.1 |
| 55.60 | 20.5 |